Entry 1:
Computed powder XRD pattern
Compound: Pr7Sm16Tm6
Radiation: CuKα
Structure: a structure optimized by DFT (PBE)
No peak broadening, texture or thermal motion is included.

Main lines, in order of rising 2θ (2θ from 5° to 70°):
2θ 24.84, I 60
2θ 27.25, I 64
2θ 28.94, I 81
2θ 31.57, I 1000
2θ 33.06, I 56
2θ 33.54, I 44
2θ 35.42, I 54
2θ 45.25, I 145
2θ 56.22, I 279
2θ 65.93, I 79

Atomic structure:
Lattice parameters (Å, degrees): 16.0302 16.0302 16.0302 90.00 90.00 90.00
Space group Fm-3m (No. 225)
Symmetry-distinct sites (fractional):
Pr1 0.0000 0.0000 0.0000
Pr2 0.0000 0.2500 0.2500
Sm1 0.1260 0.1260 0.1260
Sm2 0.1506 0.1506 0.3494
Tm1 0.0000 0.0000 0.2618

***

Entry 2:
Computed powder XRD pattern
Compound: Ba2Sc2O5
Radiation: CuKα
Structure: a structure optimized by DFT (PBE)
No peak broadening, texture or thermal motion is included.

Main lines, in order of rising 2θ (2θ from 5° to 70°):
2θ 20.76, I 312
2θ 29.13, I 330
2θ 29.91, I 358
2θ 30.08, I 1000
2θ 36.51, I 185
2θ 37.15, I 170
2θ 38.90, I 168
2θ 42.24, I 346
2θ 52.24, I 192
2θ 53.21, I 208

Atomic structure:
Lattice parameters (Å, degrees): 5.9740 16.5169 6.1307 90.00 90.00 90.00
Space group Pnma (No. 62)
Symmetry-distinct sites (fractional):
Ba1 0.0023 0.1095 0.0154
Sc1 0.0000 0.0000 0.5000
Sc2 0.0326 0.2500 0.5692
O1 0.0093 0.6379 0.5482
O2 0.1460 0.7500 0.1556
O3 0.2475 0.0074 0.7529

***

Entry 3:
Computed powder XRD pattern
Compound: Cd4Bi5Sb
Radiation: CuKα
Structure: a structure optimized by DFT (PBE)
No peak broadening, texture or thermal motion is included.

Main lines, in order of rising 2θ (2θ from 5° to 70°):
2θ 14.96, I 143
2θ 22.07, I 155
2θ 23.35, I 134
2θ 25.90, I 202
2θ 35.28, I 1000
2θ 36.11, I 234
2θ 37.80, I 208
2θ 53.27, I 154
2θ 64.39, I 174
2θ 66.63, I 157

Atomic structure:
Lattice parameters (Å, degrees): 9.5200 9.9506 7.5614 90.00 90.00 90.00
Space group Pmmn (No. 59, origin choice 2)
Symmetry-distinct sites (fractional):
Cd1 0.0053 0.2500 0.0028
Cd2 0.2500 0.0102 0.5099
Bi1 0.0013 0.0011 0.7548
Bi2 0.2500 0.7500 0.2529
Sb1 0.2500 0.2500 0.2535

***

Entry 4:
Computed powder XRD pattern
Compound: CsCeB2H8
Radiation: CuKα
Structure: a structure optimized by DFT (PBE)
No peak broadening, texture or thermal motion is included.

Main lines, in order of rising 2θ (2θ from 5° to 70°):
2θ 20.35, I 530
2θ 25.22, I 930
2θ 27.89, I 1000
2θ 36.81, I 459
2θ 42.42, I 267
2θ 42.71, I 304
2θ 47.75, I 361
2θ 50.25, I 156
2θ 51.79, I 173
2θ 60.98, I 198

Atomic structure:
Lattice parameters (Å, degrees): 4.2337 4.2337 26.1821 90.00 90.00 120.00
Space group R-3m (No. 166, hexagonal axes)
Symmetry-distinct sites (fractional):
Cs1 0.0000 0.0000 0.0000
Ce1 0.0000 0.0000 0.5000
B1 0.0000 0.0000 0.2349
H1 0.0000 0.0000 0.2817
H2 0.0117 0.5059 0.4476

***

What is the formula in the first record?
Pr7Sm16Tm6